(1)
Calculated powder XRD pattern
Compound: Ba2Mg2Tl2Cu3O10
Radiation: Cu Kα
Structure: the PBE geometry in the Materials Project
Intensities are scaled so that the largest is 100.

Cell and atoms:
```
data_Ba2Mg2Tl2Cu3O10
_chemical_formula_sum 'Ba2 Mg2 Tl2 Cu3 O10'
_space_group_name_H-M_alt 'P 1'
_space_group_IT_number 1
_cell_length_a 3.766
_cell_length_b 3.799
_cell_length_c 18.747
_cell_angle_alpha 84.47
_cell_angle_beta 85.60
_cell_angle_gamma 89.96
loop_
_space_group_symop_operation_xyz
'x,y,z'
loop_
_atom_site_label
_atom_site_fract_x
_atom_site_fract_y
_atom_site_fract_z
Ba1 0.000 0.000 0.000
Ba2 0.338 0.297 0.446
Mg1 0.085 0.070 0.810
Mg2 0.237 0.192 0.637
Tl1 0.441 0.397 0.159
Tl2 0.894 0.838 0.288
Cu1 0.548 0.549 0.880
Cu2 0.689 0.607 0.723
Cu3 0.787 0.733 0.566
O1 0.042 0.549 0.895
O2 0.180 0.579 0.745
O3 0.281 0.722 0.583
O4 0.400 0.465 0.273
O5 0.483 0.488 0.046
O6 0.557 0.056 0.865
O7 0.720 0.116 0.702
O8 0.804 0.241 0.551
O9 0.854 0.825 0.401
O10 0.936 0.010 0.174
```

Main lines, sorted by position (10 to 80 degrees two-theta):
2theta	d (Å)	intensity	index
26.28	3.391	27	0 1 -2
28.78	3.102	84	0 1 -3
28.96	3.083	41	0 1 4
29.40	3.038	39	1 0 4
33.52	2.674	100	1 -1 0
33.74	2.656	69	0 0 7
47.91	1.899	38	0 2 1
48.36	1.882	24	2 0 1



(2)
Calculated powder XRD pattern
Compound: Ba2Mg3Tl2Cu4O12
Radiation: Cu Kα
Structure: the PBE geometry in the Materials Project
Intensities are scaled so that the largest is 100.

Cell and atoms:
```
data_Ba2Mg3Tl2Cu4O12
_chemical_formula_sum 'Ba4 Mg6 Tl4 Cu8 O24'
_space_group_name_H-M_alt 'I 4/m m m'
_space_group_IT_number 139
_space_group_name_Hall '-I 4 2'
_cell_length_a 3.798
_cell_length_b 3.798
_cell_length_c 41.660
_cell_angle_alpha 90.00
_cell_angle_beta 90.00
_cell_angle_gamma 90.00
loop_
_atom_site_label
_atom_site_fract_x
_atom_site_fract_y
_atom_site_fract_z
Ba1 0.000 0.000 0.153
Mg1 0.000 0.000 0.000
Mg2 0.000 0.000 0.073
Tl1 0.000 0.000 0.278
Cu1 0.000 0.000 0.397
Cu2 0.000 0.000 0.464
O1 0.000 0.000 0.227
O2 0.000 0.000 0.328
O3 0.000 0.500 0.034
O4 0.000 0.500 0.102
```

Main lines, sorted by position (10 to 80 degrees two-theta):
2theta	d (Å)	intensity	index
27.87	3.202	100	1 0 7
30.44	2.936	85	1 0 9
33.37	2.685	100	1 1 0
34.45	2.604	39	0 0 16
47.90	1.899	49	2 0 0
48.71	1.869	33	1 1 16
56.31	1.634	43	2 1 7
57.83	1.595	29	2 1 9



(3)
Calculated powder XRD pattern
Compound: Ba2TmMgCu3O7
Radiation: Cu Kα
Structure: the PBE geometry in the Materials Project
Intensities are scaled so that the largest is 100.

Cell and atoms:
```
data_Ba2TmMgCu3O7
_chemical_formula_sum 'Ba2 Tm1 Mg1 Cu3 O7'
_space_group_name_H-M_alt 'P m m 2'
_space_group_IT_number 25
_cell_length_a 3.755
_cell_length_b 13.049
_cell_length_c 4.130
_cell_angle_alpha 90.00
_cell_angle_beta 90.00
_cell_angle_gamma 90.00
loop_
_space_group_symop_operation_xyz
'x,y,z'
'-x,-y,z'
'-x,y,z'
'x,-y,z'
loop_
_atom_site_label
_atom_site_fract_x
_atom_site_fract_y
_atom_site_fract_z
Ba1 0.000 0.230 0.000
Tm1 0.000 0.500 0.979
Mg1 0.000 0.000 0.712
Cu1 0.500 0.000 0.320
Cu2 0.500 0.391 0.478
O1 0.000 0.391 0.472
O2 0.500 0.000 0.850
O3 0.500 0.146 0.379
O4 0.500 0.391 0.976
```

Main lines, sorted by position (10 to 80 degrees two-theta):
2theta	d (Å)	intensity	index
27.36	3.259	35	0 4 0
29.83	2.995	43	0 3 1
31.47	2.842	44	1 3 0
32.22	2.778	100	1 0 1
35.06	2.560	77	0 4 1
36.48	2.463	57	1 4 0
42.75	2.115	33	1 4 1
58.32	1.582	35	1 4 2



(4)
Calculated powder XRD pattern
Compound: Ba2TmMgCu3O7
Radiation: Cu Kα
Structure: the PBE geometry in the Materials Project
Intensities are scaled so that the largest is 100.

Cell and atoms:
```
data_Ba2TmMgCu3O7
_chemical_formula_sum 'Ba2 Tm1 Mg1 Cu3 O7'
_space_group_name_H-M_alt 'P m m 2'
_space_group_IT_number 25
_cell_length_a 3.718
_cell_length_b 3.929
_cell_length_c 14.625
_cell_angle_alpha 90.00
_cell_angle_beta 90.00
_cell_angle_gamma 90.00
loop_
_space_group_symop_operation_xyz
'x,y,z'
'-x,-y,z'
'-x,y,z'
'x,-y,z'
loop_
_atom_site_label
_atom_site_fract_x
_atom_site_fract_y
_atom_site_fract_z
Ba1 0.000 0.000 0.000
Ba2 0.000 0.000 0.310
Tm1 0.000 0.000 0.744
Mg1 0.000 0.500 0.500
Cu1 0.500 0.500 0.158
Cu2 0.500 0.500 0.644
Cu3 0.500 0.500 0.857
O1 0.000 0.500 0.633
O2 0.000 0.500 0.824
O3 0.500 0.000 0.196
O4 0.500 0.000 0.655
O5 0.500 0.000 0.848
O6 0.500 0.500 0.025
O7 0.500 0.500 0.434
```

Main lines, sorted by position (10 to 80 degrees two-theta):
2theta	d (Å)	intensity	index
12.10	7.312	52	0 0 2
29.19	3.059	58	0 1 3
30.23	2.956	48	1 0 3
33.17	2.701	100	1 1 0
33.48	2.677	65	0 1 4
34.40	2.607	80	1 0 4
46.21	1.965	37	0 2 0
55.62	1.652	35	1 1 7



(5)
Calculated powder XRD pattern
Compound: Ba2TmMgCu3O7
Radiation: Cu Kα
Structure: the PBE geometry in the Materials Project
Intensities are scaled so that the largest is 100.

Cell and atoms:
```
data_Ba2TmMgCu3O7
_chemical_formula_sum 'Ba2 Tm1 Mg1 Cu3 O7'
_space_group_name_H-M_alt 'P m m 2'
_space_group_IT_number 25
_cell_length_a 3.671
_cell_length_b 3.976
_cell_length_c 13.999
_cell_angle_alpha 90.00
_cell_angle_beta 90.00
_cell_angle_gamma 90.00
loop_
_space_group_symop_operation_xyz
'x,y,z'
'-x,-y,z'
'-x,y,z'
'x,-y,z'
loop_
_atom_site_label
_atom_site_fract_x
_atom_site_fract_y
_atom_site_fract_z
Ba1 0.000 0.000 0.000
Ba2 0.000 0.000 0.471
Tm1 0.000 0.000 0.730
Mg1 0.000 0.500 0.282
Cu1 0.500 0.500 0.146
Cu2 0.500 0.500 0.619
Cu3 0.500 0.500 0.847
O1 0.000 0.500 0.599
O2 0.000 0.500 0.805
O3 0.500 0.000 0.181
O4 0.500 0.000 0.622
O5 0.500 0.000 0.830
O6 0.500 0.500 0.006
O7 0.500 0.500 0.366
```

Main lines, sorted by position (10 to 80 degrees two-theta):
2theta	d (Å)	intensity	index
29.52	3.026	37	0 1 3
30.99	2.885	33	1 0 3
33.22	2.697	100	1 1 0
34.13	2.627	97	0 1 4
35.44	2.533	99	1 0 4
45.64	1.988	38	0 2 0
59.07	1.564	43	1 2 4
61.64	1.505	34	2 1 4



(6)
Calculated powder XRD pattern
Compound: Ba2TmMgCu3O7
Radiation: Cu Kα
Structure: the PBE geometry in the Materials Project
Intensities are scaled so that the largest is 100.

Cell and atoms:
```
data_Ba2TmMgCu3O7
_chemical_formula_sum 'Ba2 Tm1 Mg1 Cu3 O7'
_space_group_name_H-M_alt 'P m m 2'
_space_group_IT_number 25
_cell_length_a 3.664
_cell_length_b 3.983
_cell_length_c 14.811
_cell_angle_alpha 90.00
_cell_angle_beta 90.00
_cell_angle_gamma 90.00
loop_
_space_group_symop_operation_xyz
'x,y,z'
'-x,-y,z'
'-x,y,z'
'x,-y,z'
loop_
_atom_site_label
_atom_site_fract_x
_atom_site_fract_y
_atom_site_fract_z
Ba1 0.000 0.000 0.000
Ba2 0.000 0.000 0.279
Tm1 0.000 0.000 0.532
Mg1 0.000 0.000 0.740
Cu1 0.500 0.500 0.141
Cu2 0.500 0.500 0.425
Cu3 0.500 0.500 0.677
O1 0.000 0.500 0.475
O2 0.000 0.500 0.763
O3 0.500 0.000 0.138
O4 0.500 0.000 0.445
O5 0.500 0.000 0.651
O6 0.500 0.500 0.013
O7 0.500 0.500 0.272
```

Main lines, sorted by position (10 to 80 degrees two-theta):
2theta	d (Å)	intensity	index
11.95	7.406	39	0 0 2
28.80	3.100	34	0 1 3
33.03	2.712	68	0 1 4
33.23	2.696	100	1 1 0
34.44	2.604	94	1 0 4
45.55	1.992	34	0 2 0
55.18	1.665	33	1 1 7
58.33	1.582	39	1 2 4



(7)
Calculated powder XRD pattern
Compound: Ba2TmMgCu3O7
Radiation: Cu Kα
Structure: the PBE geometry in the Materials Project
Intensities are scaled so that the largest is 100.

Cell and atoms:
```
data_Ba2TmMgCu3O7
_chemical_formula_sum 'Ba2 Tm1 Mg1 Cu3 O7'
_space_group_name_H-M_alt 'P m m 2'
_space_group_IT_number 25
_cell_length_a 3.710
_cell_length_b 3.958
_cell_length_c 14.593
_cell_angle_alpha 90.00
_cell_angle_beta 90.00
_cell_angle_gamma 90.00
loop_
_space_group_symop_operation_xyz
'x,y,z'
'-x,-y,z'
'-x,y,z'
'x,-y,z'
loop_
_atom_site_label
_atom_site_fract_x
_atom_site_fract_y
_atom_site_fract_z
Ba1 0.000 0.000 0.000
Ba2 0.000 0.000 0.315
Tm1 0.000 0.000 0.570
Mg1 0.000 0.500 0.812
Cu1 0.500 0.500 0.152
Cu2 0.500 0.500 0.457
Cu3 0.500 0.500 0.668
O1 0.000 0.500 0.105
O2 0.000 0.500 0.488
O3 0.000 0.500 0.679
O4 0.500 0.000 0.465
O5 0.500 0.000 0.659
O6 0.500 0.500 0.286
O7 0.500 0.500 0.879
```

Main lines, sorted by position (10 to 80 degrees two-theta):
2theta	d (Å)	intensity	index
12.13	7.296	53	0 0 2
29.09	3.070	72	0 1 3
30.30	2.950	40	1 0 3
33.10	2.707	100	1 1 0
33.40	2.683	60	0 1 4
34.48	2.601	74	1 0 4
45.85	1.979	37	0 2 0
55.65	1.652	35	1 1 7



(8)
Calculated powder XRD pattern
Compound: Ba2TmMgCu3O7
Radiation: Cu Kα
Structure: the PBE geometry in the Materials Project
Intensities are scaled so that the largest is 100.

Cell and atoms:
```
data_Ba2TmMgCu3O7
_chemical_formula_sum 'Ba2 Tm1 Mg1 Cu3 O7'
_space_group_name_H-M_alt 'P 1 m 1'
_space_group_IT_number 6
_cell_length_a 3.570
_cell_length_b 10.906
_cell_length_c 5.557
_cell_angle_alpha 90.00
_cell_angle_beta 91.54
_cell_angle_gamma 90.00
loop_
_space_group_symop_operation_xyz
'x,y,z'
'x,-y,z'
loop_
_atom_site_label
_atom_site_fract_x
_atom_site_fract_y
_atom_site_fract_z
Ba1 0.000 0.175 0.000
Tm1 0.017 0.500 0.396
Mg1 0.430 0.500 0.912
Cu1 0.463 0.273 0.491
Cu2 0.508 0.000 0.461
O1 0.123 0.381 0.703
O2 0.487 0.134 0.670
O3 0.499 0.383 0.222
O4 0.504 0.000 0.131
```

Main lines, sorted by position (10 to 80 degrees two-theta):
2theta	d (Å)	intensity	index
17.92	4.950	80	0 1 1
22.85	3.891	53	0 2 1
29.37	3.041	65	1 0 -1
30.53	2.928	66	1 1 -1
31.25	2.862	54	1 1 1
33.76	2.655	62	1 2 -1
34.42	2.606	63	1 2 1
35.24	2.547	100	1 3 0